[1]
This entry pairs a crystal structure of Cs2Tb2SbS6 with its theoretical X-ray powder pattern. Radiation: Cu Kα X-rays. Structure: a PBE-relaxed structure.
Lines closer than 0.1° are merged.

Atomic structure:
Unit cell a=6.949 b=6.949 c=8.610 alpha=97.97 beta=97.97 gamma=119.79
Fractional positions:
1 Cs 0.169 0.831 0.000
2 Cs 0.831 0.169 0.000
3 Tb 0.333 0.667 0.500
4 Tb 0.667 0.333 0.500
5 Sb 0.000 0.000 0.500
6 S 0.061 0.383 0.677
7 S 0.261 0.261 0.324
8 S 0.383 0.061 0.677
9 S 0.617 0.939 0.323
10 S 0.739 0.739 0.676
11 S 0.939 0.617 0.323

Most intense lines, 2θ = 10–90°, by angle:
2θ/deg  I/Imax
10.7  528
21.5  474
26.6  651
29.3  513
29.5  1000
38.8  366
44.9  197
45.1  323
50.6  203
54.8  257

[2]
This entry pairs a crystal structure of Rb3SeS4 with its theoretical X-ray powder pattern. Radiation: Cu Kα X-rays. Structure: a PBE-relaxed structure.
Lines closer than 0.1° are merged.

Atomic structure:
Unit cell a=11.847 b=11.847 c=5.140 alpha=97.26 beta=97.26 gamma=22.93
Fractional positions:
1 Rb 0.000 0.000 0.000
2 Rb 0.644 0.644 0.680
3 Rb 0.822 0.822 0.834
4 Se 0.322 0.322 0.335
5 S 0.147 0.147 0.187
6 S 0.227 0.227 0.053
7 S 0.417 0.417 0.620
8 S 0.498 0.498 0.493

Most intense lines, 2θ = 10–90°, by angle:
2θ/deg  I/Imax
23.2  370
25.7  1000
27.1  118
33.7  420
35.1  144
36.0  231
38.2  202
40.5  165
45.2  128
56.9  117